[1]
Diffraction record for LiV2OF5. The powder diffraction line list is calculated, not measured: it uses a GGA+U-relaxed structure and Cu Kα X-rays.
Peak positions follow from Bragg's law for the DFT cell and can differ from measured ones.

The 10 most intense peaks (2θ from 5° to 70°), sorted by position:
| 2θ/deg | I/Imax |
| --- | --- |
| 20.36 | 37 |
| 28.26 | 100 |
| 35.65 | 7 |
| 40.89 | 44 |
| 44.70 | 7 |
| 46.09 | 22 |
| 54.14 | 44 |
| 59.60 | 18 |
| 64.03 | 20 |
| 64.71 | 7 |

Structure:
```
27
Lattice="8.7250 0.0000 0.0000 -4.3625 7.5561 0.0000 0.0000 0.0000 4.5786" Properties=species:S:1:pos:R:3 pbc="T T T"
Li 0.0000 0.0000 0.0000
Li 0.0000 5.0374 2.2111
Li 4.3625 2.5187 0.0724
V -1.3999 2.7256 0.1668
V 1.5197 2.5032 2.3210
V -1.3021 7.4057 0.1668
V 2.7020 4.9809 0.1668
V 5.7974 0.0645 2.3210
V 5.7705 4.9884 2.3210
O -1.6107 4.1908 1.2984
O 1.5385 4.0658 1.2984
O 0.0722 6.8556 1.2984
F -2.9275 6.6744 1.1875
F 0.0460 1.6836 1.1875
F -1.4950 5.8885 3.4707
F 0.0105 3.3171 3.4707
F 1.5820 0.8263 3.5799
F 2.9430 1.5890 1.1783
F 2.8765 3.2931 3.5903
F 1.4846 5.9066 3.4707
F 4.4349 0.8445 3.5903
F 4.2671 4.2129 1.1783
F 2.8814 6.7541 1.1875
F 5.8774 1.7542 1.1783
F 4.2871 5.7729 3.5799
F 5.7762 3.4184 3.5903
F 7.2185 0.9569 3.5799
```

---

[2]
Diffraction record for Li7VO5F. The powder diffraction line list is calculated, not measured: it uses a GGA+U-relaxed structure and Cu Kα X-rays.
Peak positions follow from Bragg's law for the DFT cell and can differ from measured ones.

The 10 most intense peaks (2θ from 5° to 70°), sorted by position:
| 2θ/deg | I/Imax |
| --- | --- |
| 18.37 | 33 |
| 19.27 | 100 |
| 19.56 | 53 |
| 21.91 | 32 |
| 22.06 | 35 |
| 22.37 | 40 |
| 36.73 | 39 |
| 37.12 | 40 |
| 37.81 | 35 |
| 57.27 | 21 |

Structure:
```
14
Lattice="5.5398 0.0000 0.0000 2.7410 4.8692 0.0000 2.6557 1.6646 4.8284" Properties=species:S:1:pos:R:3 pbc="T T T"
Li 0.0000 0.0000 0.0000
Li 4.0034 4.9876 3.0146
Li 5.2700 3.7466 4.7331
Li 4.4024 2.1101 3.1198
Li 7.6068 5.0506 4.7075
Li 7.1442 3.2930 3.2679
Li 6.0714 1.9703 1.3358
V 6.2364 4.9444 1.4414
O 1.8504 0.3822 0.4912
O 5.3757 3.6263 2.6643
O 4.4071 1.5548 0.3695
O 7.6337 5.1426 2.7145
O 6.8896 3.5416 0.3284
F 2.5174 1.7110 2.8442
```

---

[3]
Diffraction record for Li2VO2F2. The powder diffraction line list is calculated, not measured: it uses a GGA+U-relaxed structure and Cu Kα X-rays.
Peak positions follow from Bragg's law for the DFT cell and can differ from measured ones.

The 10 most intense peaks (2θ from 5° to 70°), sorted by position:
| 2θ/deg | I/Imax |
| --- | --- |
| 18.11 | 77 |
| 18.50 | 40 |
| 21.28 | 93 |
| 30.52 | 80 |
| 35.30 | 47 |
| 35.72 | 100 |
| 37.51 | 36 |
| 43.35 | 60 |
| 62.42 | 47 |
| 63.53 | 47 |

Structure:
```
14
Lattice="2.9287 1.6909 4.8981 -2.9287 1.6909 4.8981 0.0000 -3.3818 4.8981" Properties=species:S:1:pos:R:3 pbc="T T T"
Li 0.0000 0.0000 0.0000
Li 0.0000 -1.7551 7.8248
Li -1.5199 0.8775 7.8248
Li 1.5199 0.8775 7.8248
V 0.0000 0.0000 5.4672
V 0.0000 0.0000 10.8496
O -1.4555 -0.8403 6.5228
O 1.4555 -0.8403 6.5228
O 0.0000 1.6806 6.5228
O 0.0000 0.0000 9.1657
F 0.0000 0.0000 1.8781
F 0.0000 -1.5701 4.2029
F -1.3597 0.7851 4.2029
F 1.3598 0.7851 4.2029
```

---

[4]
Diffraction record for LiVOF3. The powder diffraction line list is calculated, not measured: it uses a GGA+U-relaxed structure and Cu Kα X-rays.
Peak positions follow from Bragg's law for the DFT cell and can differ from measured ones.

The 10 most intense peaks (2θ from 5° to 70°), sorted by position:
| 2θ/deg | I/Imax |
| --- | --- |
| 17.25 | 68 |
| 26.29 | 100 |
| 30.36 | 17 |
| 36.23 | 14 |
| 39.98 | 25 |
| 41.61 | 27 |
| 51.20 | 11 |
| 51.67 | 12 |
| 52.77 | 12 |
| 54.10 | 17 |

Structure:
```
24
Lattice="10.2794 0.0000 0.0000 0.0000 5.5646 0.0000 0.0000 0.0000 4.7020" Properties=species:S:1:pos:R:3 pbc="T T T"
Li 0.0355 1.3558 0.0000
Li 5.1043 4.1381 2.3510
Li 5.1752 1.4265 0.0000
Li 10.2440 4.2088 2.3510
V 2.4774 2.3544 2.1532
V 2.6623 5.1367 4.5042
V 7.6172 0.4279 2.1532
V 7.8020 3.2102 4.5042
O 1.9302 1.1720 1.0835
O 3.2095 3.9543 3.4345
O 7.0699 1.6103 1.0835
O 8.3493 4.3926 3.4345
F 0.8926 2.5974 3.2060
F 0.9058 5.3938 3.7527
F 1.8119 3.9519 1.1520
F 3.3278 1.1696 3.5030
F 4.2339 2.6115 1.4017
F 4.2471 5.3797 0.8550
F 6.0324 0.1848 3.2060
F 6.0455 2.9531 3.7527
F 6.9516 4.3950 1.1520
F 8.4675 1.6127 3.5030
F 9.3737 0.1708 1.4017
F 9.3868 2.9671 0.8550
```

---

[5]
Diffraction record for LiV4OF11. The powder diffraction line list is calculated, not measured: it uses a GGA+U-relaxed structure and Cu Kα X-rays.
Peak positions follow from Bragg's law for the DFT cell and can differ from measured ones.

The 10 most intense peaks (2θ from 5° to 70°), sorted by position:
| 2θ/deg | I/Imax |
| --- | --- |
| 10.21 | 11 |
| 17.35 | 11 |
| 17.98 | 26 |
| 18.97 | 100 |
| 21.21 | 11 |
| 28.56 | 12 |
| 35.11 | 10 |
| 38.96 | 16 |
| 42.26 | 9 |
| 47.49 | 9 |

Structure:
```
17
Lattice="5.6461 0.0000 0.0000 2.6526 5.1489 0.0000 2.3612 1.0452 8.6631" Properties=species:S:1:pos:R:3 pbc="T T T"
Li 0.0000 0.0000 0.0000
V 4.5654 1.4819 5.4802
V 7.1037 4.3059 3.5409
V 6.8483 2.6264 1.2810
V 8.7346 3.7454 6.7875
O 4.5047 3.2780 5.6666
F 2.6009 2.9228 2.7454
F 4.5169 4.2054 8.3030
F 1.3264 0.7676 1.1614
F 3.0879 1.6691 6.9508
F 3.2694 0.5250 4.3093
F 5.7080 2.9998 2.8279
F 8.3415 5.7049 6.8214
F 7.7400 3.4923 8.5417
F 6.9893 4.7307 1.5574
F 7.3190 3.5530 5.3642
F 5.7509 0.5488 4.1140
```

---

[6]
Diffraction record for Li3V2O4F2. The powder diffraction line list is calculated, not measured: it uses a GGA+U-relaxed structure and Cu Kα X-rays.
Peak positions follow from Bragg's law for the DFT cell and can differ from measured ones.

The 10 most intense peaks (2θ from 5° to 70°), sorted by position:
| 2θ/deg | I/Imax |
| --- | --- |
| 12.12 | 100 |
| 24.38 | 33 |
| 34.20 | 7 |
| 35.15 | 17 |
| 37.58 | 9 |
| 41.45 | 21 |
| 43.72 | 38 |
| 52.52 | 6 |
| 61.82 | 20 |
| 63.67 | 6 |

Structure:
```
22
Lattice="5.2497 0.0000 0.0000 0.0000 5.8467 0.0000 -0.3433 0.0000 7.3013" Properties=species:S:1:pos:R:3 pbc="T T T"
Li 0.7514 1.4617 0.9813
Li 1.3376 2.9575 6.3634
Li 1.3376 5.8125 6.3634
Li 3.5688 0.0342 0.9379
Li 3.5688 2.8892 0.9379
Li 4.1551 4.3850 6.3201
V -0.1716 0.0000 3.6507
V -0.1716 2.9233 3.6507
V 2.4130 4.3850 3.5641
V 2.4934 1.4617 3.7372
O 0.7275 4.3850 4.7255
O 0.7705 1.4617 4.6841
O 1.6449 0.0350 2.6149
O 1.6449 2.8883 2.6149
O 3.2615 2.9584 4.6865
O 3.2615 5.8117 4.6865
O 4.1359 4.3850 2.6173
O 4.1790 1.4617 2.5758
F 0.0000 0.0000 0.0000
F 0.0000 2.9233 0.0000
F 2.4722 1.4617 0.0985
F 2.4342 4.3850 7.2029
```

---

[7]
Diffraction record for LiVOF3. The powder diffraction line list is calculated, not measured: it uses a GGA+U-relaxed structure and Cu Kα X-rays.
Peak positions follow from Bragg's law for the DFT cell and can differ from measured ones.

The 10 most intense peaks (2θ from 5° to 70°), sorted by position:
| 2θ/deg | I/Imax |
| --- | --- |
| 17.22 | 99 |
| 21.46 | 100 |
| 24.98 | 57 |
| 27.64 | 64 |
| 30.49 | 29 |
| 37.60 | 22 |
| 38.75 | 29 |
| 41.86 | 31 |
| 47.32 | 18 |
| 56.22 | 18 |

Structure:
```
24
Lattice="7.1302 0.0000 0.0000 0.0000 5.1485 0.0000 0.0000 0.0000 8.2821" Properties=species:S:1:pos:R:3 pbc="T T T"
Li 1.1596 0.2220 0.0000
Li 2.4055 0.2220 4.1410
Li 4.7247 4.9265 0.0000
Li 5.9706 4.9265 4.1410
V 0.1200 2.3434 5.6083
V 3.4451 2.3434 1.4673
V 3.6851 2.8051 5.6083
V 7.0102 2.8051 1.4673
O 0.3457 1.7554 7.1292
O 3.2194 1.7554 2.9882
O 3.9108 3.3931 7.1292
O 6.7845 3.3931 2.9882
F 0.5480 0.9503 4.3611
F 0.6154 1.0823 1.6092
F 1.7502 3.3486 1.0480
F 1.8149 3.3486 5.1891
F 2.9497 1.0823 5.7503
F 3.0171 0.9503 0.2201
F 4.1131 4.1982 4.3611
F 4.1805 4.0662 1.6092
F 5.3153 1.7999 1.0480
F 5.3800 1.7999 5.1891
F 6.5148 4.0662 5.7503
F 6.5822 4.1982 0.2201
```

---

[8]
Diffraction record for LiV2OF5. The powder diffraction line list is calculated, not measured: it uses a GGA+U-relaxed structure and Cu Kα X-rays.
Peak positions follow from Bragg's law for the DFT cell and can differ from measured ones.

The 10 most intense peaks (2θ from 5° to 70°), sorted by position:
| 2θ/deg | I/Imax |
| --- | --- |
| 23.50 | 100 |
| 32.44 | 23 |
| 34.47 | 7 |
| 39.69 | 29 |
| 48.06 | 19 |
| 52.77 | 31 |
| 55.54 | 11 |
| 60.48 | 9 |
| 61.76 | 13 |
| 67.92 | 5 |

Structure:
```
27
Lattice="5.2032 0.0000 0.0000 -2.6016 4.5061 0.0000 0.0000 0.0000 13.9661" Properties=species:S:1:pos:R:3 pbc="T T T"
Li -1.6777 3.0510 0.0000
Li 0.7982 1.5276 9.3107
Li 0.8795 4.4335 4.6554
V -1.6647 2.8998 11.0489
V 0.9345 1.4037 13.5391
V 0.9227 1.6145 6.3935
V 0.7420 4.4979 1.7381
V 3.5203 0.1075 8.8837
V 3.3500 2.9949 4.2284
O 1.8483 0.1935 0.6579
O 1.8450 2.8087 5.3132
O 4.1115 1.5039 9.9686
F -0.7855 1.3953 0.6390
F -0.7936 1.5830 5.3489
F -0.0363 0.3728 7.7214
F -2.2606 4.3512 12.3768
F -0.1426 2.7024 12.4042
F -1.0005 4.4887 5.2943
F -0.1899 3.2784 3.0935
F -0.8339 4.4019 10.0043
F 0.3326 3.0314 7.7488
F 2.3947 1.2730 7.7180
F 1.6275 3.0273 0.6936
F 2.5067 1.7957 12.3733
F 1.7860 3.1282 9.9497
F 2.9034 1.4374 3.0626
F 2.2969 4.2882 3.0660
```

---

[9]
Diffraction record for Li3VO3F2. The powder diffraction line list is calculated, not measured: it uses a GGA+U-relaxed structure and Cu Kα X-rays.
Peak positions follow from Bragg's law for the DFT cell and can differ from measured ones.

The 10 most intense peaks (2θ from 5° to 70°), sorted by position:
| 2θ/deg | I/Imax |
| --- | --- |
| 18.48 | 96 |
| 18.70 | 46 |
| 22.55 | 100 |
| 22.90 | 40 |
| 23.33 | 18 |
| 29.19 | 19 |
| 35.66 | 39 |
| 37.24 | 25 |
| 37.47 | 24 |
| 60.58 | 17 |

Structure:
```
9
Lattice="5.1715 0.0000 0.0000 1.6018 4.9700 0.0000 1.8048 1.2970 4.8049" Properties=species:S:1:pos:R:3 pbc="T T T"
Li 0.0000 0.0000 0.0000
Li 3.4254 3.6730 3.8235
Li 5.7856 5.6121 2.9036
V 4.4411 3.0881 0.9437
O 4.7261 4.0313 2.3210
O 4.8124 1.4581 1.2233
O 7.1169 4.9662 4.3753
F 3.0763 1.9028 3.6661
F 2.6330 3.2263 0.5248
```

---

[10]
Diffraction record for LiV2OF5. The powder diffraction line list is calculated, not measured: it uses a GGA+U-relaxed structure and Cu Kα X-rays.
Peak positions follow from Bragg's law for the DFT cell and can differ from measured ones.

The 10 most intense peaks (2θ from 5° to 70°), sorted by position:
| 2θ/deg | I/Imax |
| --- | --- |
| 23.32 | 49 |
| 23.78 | 100 |
| 32.37 | 27 |
| 39.55 | 17 |
| 40.13 | 31 |
| 48.67 | 18 |
| 52.35 | 17 |
| 53.04 | 17 |
| 53.33 | 16 |
| 62.55 | 15 |

Structure:
```
18
Lattice="5.4964 0.0000 0.0000 0.0000 5.1302 0.0000 -0.7555 0.0000 7.6294" Properties=species:S:1:pos:R:3 pbc="T T T"
Li 0.0000 0.0684 0.0000
Li -0.3777 5.0618 3.8147
V -0.1319 2.4843 5.4923
V 0.2458 2.6459 1.6776
V 2.7169 0.0896 5.4522
V 3.0946 5.0406 1.6374
O 4.3398 0.9665 5.8703
O 4.7175 4.1637 2.0555
F 0.0918 1.8048 3.5528
F -0.2860 3.3254 7.3675
F 1.3654 0.9337 1.1299
F 0.9876 4.1964 4.9446
F 1.5831 1.6673 5.9386
F 1.9609 3.4629 2.1238
F 2.8850 0.6047 3.5076
F 2.5072 4.5255 7.3224
F 4.2523 1.4940 1.0621
F 3.8746 3.6362 4.8769
```

---

[11]
Diffraction record for Li3VO3F2. The powder diffraction line list is calculated, not measured: it uses a GGA+U-relaxed structure and Cu Kα X-rays.
Peak positions follow from Bragg's law for the DFT cell and can differ from measured ones.

The 10 most intense peaks (2θ from 5° to 70°), sorted by position:
| 2θ/deg | I/Imax |
| --- | --- |
| 18.33 | 20 |
| 19.78 | 40 |
| 20.81 | 42 |
| 22.05 | 100 |
| 27.99 | 19 |
| 29.79 | 47 |
| 31.11 | 27 |
| 43.82 | 32 |
| 53.43 | 15 |
| 54.54 | 26 |

Structure:
```
18
Lattice="4.5204 -2.8744 0.0000 4.5204 2.8744 0.0000 -0.9546 0.0000 8.0356" Properties=species:S:1:pos:R:3 pbc="T T T"
Li 1.4341 1.0599 2.9149
Li 4.0431 1.9413 4.0178
Li 2.7255 0.9975 6.4743
Li 0.9568 -1.0599 6.9327
Li 3.2028 -0.9975 2.4566
Li 4.5204 -1.9413 0.0000
V 5.1405 0.9948 1.4416
V 4.6632 -0.9948 5.4594
O 0.7213 0.9253 6.7745
O 4.5353 1.7944 0.0519
O 1.1986 -0.9253 2.7567
O 4.5912 0.7335 5.5265
O 5.0685 -0.7335 1.5088
O 4.0580 -1.7944 4.0697
F 3.3457 0.9868 2.4201
F 2.8684 -0.9868 6.4379
F 6.9865 1.0606 0.6911
F 6.5092 -1.0606 4.7089
```